Entry 1:
# Sm3Al8In
Theoretical powder diffraction line list, Cu Kα (λ = 1.5418 Å). Input: a GGA-PBE-relaxed structure.
Peak positions follow from Bragg's law for the DFT cell and can differ from measured ones.

Structural model:
```
Sm3Al8In
1.0
2.8246 1.6308 9.0870
-2.8246 1.6308 9.0870
0.0000 -3.2616 9.0870
Sm Al In
3 8 1
Direct
0.0000 0.0000 0.0000
0.1300 0.1300 0.1300
0.6218 0.6218 0.6218
0.0607 0.5648 0.5648
0.0623 0.0623 0.5694
0.0623 0.5694 0.0623
0.3130 0.3130 0.3130
0.5648 0.0607 0.5648
0.5648 0.5648 0.0607
0.5694 0.0623 0.0623
0.8150 0.8150 0.8150
0.5002 0.5002 0.5002
```

Most intense lines, 10 to 90 degrees two-theta, by intensity:
37.5 deg, I 100.0
31.7 deg, I 96.5
32.0 deg, I 91.7
19.3 deg, I 83.1
37.3 deg, I 49.5
37.8 deg, I 45.2
56.6 deg, I 36.0
19.5 deg, I 28.0

***

Entry 2:
# Sm12Al3In
Theoretical powder diffraction line list, Cu Kα (λ = 1.5418 Å). Input: a GGA-PBE-relaxed structure.
Peak positions follow from Bragg's law for the DFT cell and can differ from measured ones.

Structural model:
```
Sm12Al3In
1.0
4.8666 0.0000 0.0000
0.0000 4.8666 0.0000
0.0000 0.0000 19.4952
Sm Al In
12 3 1
Direct
0.0000 0.0000 0.0000
0.0000 0.0000 0.2474
0.0000 0.0000 0.5000
0.0000 0.0000 0.7526
0.0000 0.5000 0.1240
0.0000 0.5000 0.3709
0.0000 0.5000 0.6291
0.0000 0.5000 0.8760
0.5000 0.0000 0.1240
0.5000 0.0000 0.3709
0.5000 0.0000 0.6291
0.5000 0.0000 0.8760
0.5000 0.5000 0.0000
0.5000 0.5000 0.2485
0.5000 0.5000 0.7515
0.5000 0.5000 0.5000
```

Most intense lines, 10 to 90 degrees two-theta, by intensity:
31.8 deg, I 100.0
36.9 deg, I 50.2
63.4 deg, I 41.0
53.2 deg, I 34.9
87.3 deg, I 17.2
66.5 deg, I 11.8
18.2 deg, I 11.6
25.9 deg, I 10.2

***

Entry 3:
# Sr3Al2In9
Theoretical powder diffraction line list, Cu Kα (λ = 1.5418 Å). Input: a GGA-PBE-relaxed structure.
Peak positions follow from Bragg's law for the DFT cell and can differ from measured ones.

Structural model:
```
Sr3Al2In9
1.0
-2.4274 5.7502 6.9555
2.4274 -5.7502 6.9555
2.4274 5.7502 -6.9555
Sr Al In
3 2 9
Direct
0.0000 0.0000 0.0000
0.3135 0.3135 0.0000
0.6865 0.6865 0.0000
0.2981 0.5000 0.7981
0.7019 0.5000 0.2019
0.0277 0.6551 0.3726
0.1391 0.8606 0.2785
0.2825 0.6551 0.6274
0.4178 0.1394 0.2785
0.5000 0.0000 0.5000
0.5822 0.8606 0.7215
0.7175 0.3449 0.3726
0.8609 0.1394 0.7215
0.9723 0.3449 0.6274
```

Most intense lines, 10 to 90 degrees two-theta, by intensity:
30.9 deg, I 100.0
37.0 deg, I 46.9
29.7 deg, I 43.1
36.9 deg, I 37.0
30.0 deg, I 29.2
59.7 deg, I 29.0
39.6 deg, I 25.0
38.8 deg, I 24.2